1.
For AcZrSO2, the PBE geometry in Alexandria gives the calculated powder X-ray diffraction pattern in this record (Cu Kα, 1.54184 Å).
Peak positions follow from Bragg's law for the DFT cell and can differ from measured ones.

Structure:
```
data_AcZrSO2
_cell_length_a 4.2874
_cell_length_b 4.2874
_cell_length_c 5.3216
_cell_angle_alpha 90.00
_cell_angle_beta 90.00
_cell_angle_gamma 90.00
_space_group_name_H-M_alt 'P 4 m m'
_space_group_IT_number 99
loop_
_space_group_symop_operation_xyz
'x,y,z'
'-y,x,z'
'-x,-y,z'
'y,-x,z'
'-x,y,z'
'y,x,z'
'x,-y,z'
'-y,-x,z'
loop_
_atom_site_label
_atom_site_type_symbol
_atom_site_fract_x
_atom_site_fract_y
_atom_site_fract_z
_atom_site_occupancy
Ac1 Ac 0.0000 0.0000 0.0000 1
Zr1 Zr 0.5000 0.5000 0.3225 1
S1 S 0.5000 0.5000 0.8093 1
O1 O 0.0000 0.5000 0.2779 1
```

The 8 most intense peaks (2θ = 10–90°), by angle:
hkl	2θ/deg	I/Imax
0 0 1	16.66	49
1 0 1	26.70	100
1 1 0	29.46	59
1 1 1	34.03	33
1 0 2	39.88	54
2 0 0	42.15	33
2 1 1	50.60	36
2 1 2	59.42	34

---

2.
For U2Si7Ni2, the PBE geometry in Alexandria gives the calculated powder X-ray diffraction pattern in this record (Cu Kα, 1.54184 Å).
Peak positions follow from Bragg's law for the DFT cell and can differ from measured ones.

Structure:
```
data_U2Si7Ni2
_cell_length_a 3.9920
_cell_length_b 4.0601
_cell_length_c 21.3046
_cell_angle_alpha 90.00
_cell_angle_beta 90.00
_cell_angle_gamma 90.00
_space_group_name_H-M_alt 'A m m 2'
_space_group_IT_number 38
loop_
_space_group_symop_operation_xyz
'x,y,z'
'-x,-y,z'
'-x,y,z'
'x,-y,z'
'x,y+1/2,z+1/2'
'-x,-y+1/2,z+1/2'
'-x,y+1/2,z+1/2'
'x,-y+1/2,z+1/2'
loop_
_atom_site_label
_atom_site_type_symbol
_atom_site_fract_x
_atom_site_fract_y
_atom_site_fract_z
_atom_site_occupancy
U1 U 0.0000 0.0000 0.0000 1
U2 U 0.0000 0.0000 0.3367 1
Si1 Si 0.0000 0.0000 0.6103 1
Si2 Si 0.0000 0.0000 0.7283 1
Si3 Si 0.5000 0.0000 0.1087 1
Si4 Si 0.5000 0.0000 0.2286 1
Si5 Si 0.5000 0.0000 0.4391 1
Si6 Si 0.5000 0.0000 0.5456 1
Si7 Si 0.5000 0.0000 0.8852 1
Ni1 Ni 0.0000 0.0000 0.1632 1
Ni2 Ni 0.5000 0.0000 0.7793 1
```

The 8 most intense peaks (2θ = 10–90°), by angle:
hkl	2θ/deg	I/Imax
1 0 0	22.28	57
0 0 6	25.08	28
0 1 3	25.27	37
0 1 5	30.41	30
1 1 1	31.71	30
1 0 6	33.78	64
1 1 3	33.93	100
1 2 6	57.13	31

---

3.
For Ca2IrCSe, the PBE geometry in Alexandria gives the calculated powder X-ray diffraction pattern in this record (Cu Kα, 1.54184 Å).
Peak positions follow from Bragg's law for the DFT cell and can differ from measured ones.

Structure:
```
data_Ca2IrCSe
_cell_length_a 5.1677
_cell_length_b 5.1677
_cell_length_c 3.8438
_cell_angle_alpha 90.00
_cell_angle_beta 90.00
_cell_angle_gamma 90.00
_space_group_name_H-M_alt 'P 4/m m m'
_space_group_IT_number 123
_space_group_name_Hall '-P 4 2'
loop_
_atom_site_label
_atom_site_type_symbol
_atom_site_fract_x
_atom_site_fract_y
_atom_site_fract_z
_atom_site_occupancy
Ca1 Ca 0.0000 0.5000 0.0000 1
Ir1 Ir 0.0000 0.0000 0.5000 1
C1 C 0.0000 0.0000 0.0000 1
Se1 Se 0.5000 0.5000 0.5000 1
```

The 8 most intense peaks (2θ = 10–90°), by angle:
hkl	2θ/deg	I/Imax
1 0 0	17.16	32
0 0 1	23.14	16
1 1 0	24.36	37
1 1 1	33.85	100
2 0 0	34.72	53
2 2 0	49.92	18
2 0 2	59.99	21
3 1 1	61.68	35